Calculated X-ray powder pattern
Compound: KLiIrO4
Radiation: Cu Kα, 1.54184 Å
Structure: a PBE-relaxed structure
Kinematic intensities with the Lorentz-polarization factor, no thermal factor.

```
KLiIrO4
1.0
5.9231 0.0000 0.0000
0.0000 5.9231 0.0000
0.0000 0.0000 7.3152
K Li Ir O
2 2 2 8
direct
0.0000 0.0000 0.0000
0.5000 0.5000 0.5000
0.0000 0.0000 0.5000
0.5000 0.5000 0.0000
0.0000 0.5000 0.7500
0.5000 0.0000 0.2500
0.1290 0.2431 0.6601
0.2431 0.8710 0.3399
0.2569 0.6290 0.8399
0.3710 0.2569 0.1601
0.6290 0.7431 0.1601
0.7431 0.3710 0.8399
0.7569 0.1290 0.3399
0.8710 0.7569 0.6601
```

Principal peaks in the range 2θ = 5–70°, low angle first:
- 4.603 Å, rel. 100, hkl 1 0 1
- 4.188 Å, rel. 17, hkl 1 1 0
- 2.962 Å, rel. 15, hkl 2 0 0
- 2.755 Å, rel. 36, hkl 1 1 2
- 2.491 Å, rel. 31, hkl 2 1 1
- 2.255 Å, rel. 14, hkl 1 0 3
- 1.794 Å, rel. 14, hkl 1 2 3
- 1.667 Å, rel. 16, hkl 3 1 2